No. 1
Diffraction record for Sm3TaSe6. The powder diffraction line list is simulated, not measured: it uses a GGA-PBE-relaxed structure and CuKα.

Main lines, by angle (15° ≤ 2θ ≤ 90°):
- hkl 2 2 1, 2θ 23.8, d 3.735, I = 100
- hkl 1 3 1, 2θ 24.2, d 3.678, I = 69
- hkl 3 1 1, 2θ 27.5, d 3.248, I = 24
- hkl 3 3 1, 2θ 32.9, d 2.722, I = 71
- hkl 3 1 2, 2θ 35.7, d 2.516, I = 71
- hkl 0 4 2, 2θ 36.5, d 2.465, I = 43
- hkl 3 5 0, 2θ 39.7, d 2.268, I = 72
- hkl 5 3 1, 2θ 46.0, d 1.972, I = 20
- hkl 3 1 3, 2θ 46.6, d 1.949, I = 31
- hkl 0 4 3, 2θ 47.2, d 1.925, I = 26
- hkl 6 0 0, 2θ 47.7, d 1.907, I = 43
- hkl 6 4 2, 2θ 61.5, d 1.508, I = 20

Structure:
```
data_Sm3TaSe6
_chemical_formula_sum 'Sm12 Ta4 Se24'
_cell_length_a 11.4456
_cell_length_b 14.1065
_cell_length_c 6.8918
_cell_angle_alpha 90.00
_cell_angle_beta 90.00
_cell_angle_gamma 90.00
_space_group_name_H-M_alt 'C m c 21'
_space_group_IT_number 36
loop_
_space_group_symop_operation_xyz
'x,y,z'
'-x,-y,z+1/2'
'-x,y,z'
'x,-y,z+1/2'
'x+1/2,y+1/2,z'
'-x+1/2,-y+1/2,z+1/2'
'-x+1/2,y+1/2,z'
'x+1/2,-y+1/2,z+1/2'
loop_
_atom_site_label
_atom_site_type_symbol
_atom_site_fract_x
_atom_site_fract_y
_atom_site_fract_z
Sm1 Sm 0.0000 0.0930 0.0000
Sm2 Sm 0.1767 0.4065 0.9038
Ta1 Ta 0.0000 0.3065 0.3505
Se1 Se 0.0000 0.2781 0.7058
Se2 Se 0.0000 0.4713 0.2087
Se3 Se 0.1630 0.0339 0.7027
Se4 Se 0.1674 0.2338 0.1833
```

No. 2
Diffraction record for TbSm4Se5. The powder diffraction line list is simulated, not measured: it uses a GGA-PBE-relaxed structure and CuKα.

Main lines, by angle (15° ≤ 2θ ≤ 90°):
- hkl 2 1 1, 2θ 26.3, d 3.395, I = 18
- hkl 0 0 2, 2θ 30.4, d 2.940, I = 100
- hkl 1 3 2, 2θ 43.5, d 2.079, I = 74
- hkl 2 1 3, 2θ 51.5, d 1.775, I = 3
- hkl 5 0 1, 2θ 51.6, d 1.772, I = 6
- hkl 4 2 2, 2θ 54.0, d 1.697, I = 26
- hkl 0 0 4, 2θ 63.1, d 1.473, I = 4
- hkl 2 6 0, 2θ 63.3, d 1.468, I = 8
- hkl 1 3 4, 2θ 71.7, d 1.317, I = 11
- hkl 2 6 2, 2θ 71.9, d 1.314, I = 22
- hkl 4 2 4, 2θ 79.8, d 1.201, I = 8
- hkl 7 1 2, 2θ 80.0, d 1.200, I = 17

Structure:
```
data_TbSm4Se5
_chemical_formula_sum 'Tb2 Sm8 Se10'
_cell_length_a 9.2872
_cell_length_b 9.2872
_cell_length_c 5.8919
_cell_angle_alpha 90.00
_cell_angle_beta 90.00
_cell_angle_gamma 90.00
_space_group_name_H-M_alt 'I 4/m'
_space_group_IT_number 87
_space_group_name_Hall '-I 4'
loop_
_atom_site_label
_atom_site_type_symbol
_atom_site_fract_x
_atom_site_fract_y
_atom_site_fract_z
Tb1 Tb 0.0000 0.0000 0.0000
Sm1 Sm 0.0972 0.3030 0.5000
Se1 Se 0.0000 0.0000 0.5000
Se2 Se 0.1006 0.2946 0.0000
```

No. 3
Diffraction record for Tb3Sm5Se8. The powder diffraction line list is simulated, not measured: it uses a GGA-PBE-relaxed structure and CuKα.

Main lines, by angle (15° ≤ 2θ ≤ 90°):
- hkl 0 0 6, 2θ 26.3, d 3.385, I = 19
- hkl 0 2 4, 2θ 30.5, d 2.931, I = 100
- hkl 2 2 0, 2θ 43.7, d 2.073, I = 74
- hkl 0 2 10, 2θ 51.7, d 1.768, I = 7
- hkl 0 4 2, 2θ 51.8, d 1.766, I = 2
- hkl 0 0 12, 2θ 54.1, d 1.696, I = 7
- hkl 4 0 4, 2θ 54.2, d 1.691, I = 20
- hkl 0 4 8, 2θ 63.5, d 1.466, I = 12
- hkl 2 2 12, 2θ 72.0, d 1.312, I = 17
- hkl 2 4 4, 2θ 72.1, d 1.310, I = 17
- hkl 0 2 16, 2θ 80.1, d 1.199, I = 6
- hkl 6 0 0, 2θ 80.3, d 1.196, I = 19

Structure:
```
data_Tb3Sm5Se8
_chemical_formula_sum 'Tb9 Sm15 Se24'
_cell_length_a 8.2830
_cell_length_b 8.2830
_cell_length_c 20.3463
_cell_angle_alpha 90.00
_cell_angle_beta 90.00
_cell_angle_gamma 120.00
_space_group_name_H-M_alt 'R -3 m'
_space_group_IT_number 166
_space_group_name_Hall '-R 3 2"'
loop_
_atom_site_label
_atom_site_type_symbol
_atom_site_fract_x
_atom_site_fract_y
_atom_site_fract_z
Tb1 Tb 0.0000 0.5000 0.0000
Sm1 Sm 0.0000 0.0000 0.0000
Sm2 Sm 0.0000 0.0000 0.5000
Sm3 Sm 0.0000 0.5000 0.5000
Se1 Se 0.0000 0.0000 0.2526
Se2 Se 0.0034 0.5017 0.2517
```

No. 4
Diffraction record for Tb3Sm2Se6. The powder diffraction line list is simulated, not measured: it uses a GGA-PBE-relaxed structure and CuKα.

Main lines, by angle (15° ≤ 2θ ≤ 90°):
- hkl 0 0 2, 2θ 26.6, d 3.354, I = 8
- hkl 1 3 1, 2θ 30.8, d 2.907, I = 100
- hkl 2 0 2, 2θ 44.0, d 2.057, I = 62
- hkl 0 6 0, 2θ 44.2, d 2.050, I = 12
- hkl 0 0 4, 2θ 54.6, d 1.681, I = 13
- hkl 2 6 -2, 2θ 54.8, d 1.676, I = 13
- hkl 2 6 2, 2θ 64.1, d 1.453, I = 8
- hkl 3 3 3, 2θ 72.6, d 1.302, I = 11
- hkl 0 6 4, 2θ 72.7, d 1.300, I = 17
- hkl 5 3 1, 2θ 80.9, d 1.189, I = 6
- hkl 1 3 5, 2θ 81.0, d 1.187, I = 10
- hkl 3 9 -1, 2θ 81.2, d 1.185, I = 8

Structure:
```
data_Tb3Sm2Se6
_chemical_formula_sum 'Tb6 Sm4 Se12'
_cell_length_a 7.1345
_cell_length_b 12.2999
_cell_length_c 7.1248
_cell_angle_alpha 90.00
_cell_angle_beta 109.45
_cell_angle_gamma 90.00
_space_group_name_H-M_alt 'C 1 2/m 1'
_space_group_IT_number 12
loop_
_space_group_symop_operation_xyz
'x,y,z'
'-x,-y,-z'
'-x,y,-z'
'x,-y,z'
'x+1/2,y+1/2,z'
'-x+1/2,-y+1/2,-z'
'-x+1/2,y+1/2,-z'
'x+1/2,-y+1/2,z'
loop_
_atom_site_label
_atom_site_type_symbol
_atom_site_fract_x
_atom_site_fract_y
_atom_site_fract_z
Tb1 Tb 0.0000 0.0000 0.0000
Tb2 Tb 0.0000 0.3346 0.0000
Sm1 Sm 0.0000 0.1651 0.5000
Se1 Se 0.2430 0.5000 0.2501
Se2 Se 0.2483 0.3359 0.7532
```

No. 5
Diffraction record for Tb2Sm3Se8. The powder diffraction line list is simulated, not measured: it uses a GGA-PBE-relaxed structure and CuKα.

Main lines, by angle (15° ≤ 2θ ≤ 90°):
- hkl 1 1 1, 2θ 19.8, d 4.488, I = 61
- hkl 3 1 -1, 2θ 22.3, d 3.987, I = 45
- hkl 2 2 0, 2θ 25.0, d 3.560, I = 31
- hkl 2 2 -1, 2θ 26.2, d 3.403, I = 56
- hkl 0 0 2, 2θ 26.7, d 3.338, I = 28
- hkl 4 2 -1, 2θ 33.1, d 2.709, I = 100
- hkl 2 0 2, 2θ 33.7, d 2.661, I = 47
- hkl 6 0 -2, 2θ 39.7, d 2.268, I = 34
- hkl 4 2 1, 2θ 39.9, d 2.258, I = 68
- hkl 0 4 0, 2θ 43.3, d 2.089, I = 36
- hkl 2 2 -3, 2θ 44.0, d 2.059, I = 69
- hkl 10 2 -3, 2θ 71.5, d 1.319, I = 31

Structure:
```
data_Tb2Sm3Se8
_chemical_formula_sum 'Tb4 Sm6 Se16'
_cell_length_a 14.4689
_cell_length_b 8.3550
_cell_length_c 7.0988
_cell_angle_alpha 90.00
_cell_angle_beta 109.87
_cell_angle_gamma 90.00
_space_group_name_H-M_alt 'C 1 2/m 1'
_space_group_IT_number 12
loop_
_space_group_symop_operation_xyz
'x,y,z'
'-x,-y,-z'
'-x,y,-z'
'x,-y,z'
'x+1/2,y+1/2,z'
'-x+1/2,-y+1/2,-z'
'-x+1/2,y+1/2,-z'
'x+1/2,-y+1/2,z'
loop_
_atom_site_label
_atom_site_type_symbol
_atom_site_fract_x
_atom_site_fract_y
_atom_site_fract_z
Tb1 Tb 0.2418 0.0000 0.1597
Sm1 Sm 0.0000 0.2376 0.5000
Sm2 Sm 0.0000 0.5000 0.0000
Se1 Se 0.1203 0.0000 0.4015
Se2 Se 0.1206 0.5000 0.4290
Se3 Se 0.1258 0.2618 0.9164
```

No. 6
Diffraction record for TbSm6Se8. The powder diffraction line list is simulated, not measured: it uses a GGA-PBE-relaxed structure and CuKα.

Main lines, by angle (15° ≤ 2θ ≤ 90°):
- hkl 2 0 0, 2θ 15.1, d 5.877, I = 4
- hkl 2 2 0, 2θ 21.4, d 4.156, I = 3
- hkl 3 1 1, 2θ 25.1, d 3.544, I = 6
- hkl 2 2 2, 2θ 26.3, d 3.393, I = 11
- hkl 4 0 0, 2θ 30.4, d 2.938, I = 100
- hkl 3 3 1, 2θ 33.2, d 2.697, I = 3
- hkl 4 4 0, 2θ 43.6, d 2.078, I = 74
- hkl 6 2 2, 2θ 51.6, d 1.772, I = 6
- hkl 4 4 4, 2θ 54.1, d 1.697, I = 26
- hkl 8 0 0, 2θ 63.3, d 1.469, I = 12
- hkl 8 4 0, 2θ 71.8, d 1.314, I = 33
- hkl 8 4 4, 2θ 80.0, d 1.200, I = 25

Structure:
```
data_TbSm6Se8
_chemical_formula_sum 'Tb4 Sm24 Se32'
_cell_length_a 11.7539
_cell_length_b 11.7539
_cell_length_c 11.7539
_cell_angle_alpha 90.00
_cell_angle_beta 90.00
_cell_angle_gamma 90.00
_space_group_name_H-M_alt 'F m -3 m'
_space_group_IT_number 225
_space_group_name_Hall '-F 4 2 3'
loop_
_atom_site_label
_atom_site_type_symbol
_atom_site_fract_x
_atom_site_fract_y
_atom_site_fract_z
Tb1 Tb 0.0000 0.0000 0.0000
Sm1 Sm 0.0000 0.2500 0.2500
Se1 Se 0.0000 0.0000 0.2498
Se2 Se 0.2500 0.2500 0.2500
```

No. 7
Diffraction record for TbSm4Se7. The powder diffraction line list is simulated, not measured: it uses a GGA-PBE-relaxed structure and CuKα.

Main lines, by angle (15° ≤ 2θ ≤ 90°):
- hkl 2 0 2, 2θ 22.4, d 3.963, I = 85
- hkl 2 0 -3, 2θ 23.0, d 3.875, I = 97
- hkl 3 1 -1, 2θ 29.6, d 3.015, I = 76
- hkl 3 1 0, 2θ 30.0, d 2.979, I = 44
- hkl 3 1 -2, 2θ 31.2, d 2.871, I = 100
- hkl 3 1 1, 2θ 32.2, d 2.781, I = 72
- hkl 3 1 -3, 2θ 34.3, d 2.612, I = 43
- hkl 1 1 -4, 2θ 36.6, d 2.457, I = 49
- hkl 1 1 4, 2θ 39.4, d 2.286, I = 52
- hkl 5 1 0, 2θ 40.8, d 2.212, I = 42
- hkl 6 0 -4, 2θ 44.5, d 2.037, I = 44
- hkl 0 2 0, 2θ 44.8, d 2.023, I = 60

Structure:
```
data_TbSm4Se7
_chemical_formula_sum 'Tb2 Sm8 Se14'
_cell_length_a 13.6554
_cell_length_b 4.0466
_cell_length_c 12.3724
_cell_angle_alpha 90.00
_cell_angle_beta 104.69
_cell_angle_gamma 90.00
_space_group_name_H-M_alt 'C 1 m 1'
_space_group_IT_number 8
loop_
_space_group_symop_operation_xyz
'x,y,z'
'x,-y,z'
'x+1/2,y+1/2,z'
'x+1/2,-y+1/2,z'
loop_
_atom_site_label
_atom_site_type_symbol
_atom_site_fract_x
_atom_site_fract_y
_atom_site_fract_z
Tb1 Tb 0.0000 0.0000 0.0000
Sm1 Sm 0.1127 0.0000 0.4211
Sm2 Sm 0.2253 0.0000 0.8456
Sm3 Sm 0.3127 0.5000 0.2325
Sm4 Sm 0.4132 0.0000 0.6123
Se1 Se 0.0730 0.0000 0.6379
Se2 Se 0.1106 0.5000 0.9238
Se3 Se 0.1520 0.0000 0.2039
Se4 Se 0.2732 0.5000 0.4727
Se5 Se 0.3551 0.5000 0.7759
Se6 Se 0.3752 0.0000 0.0707
Se7 Se 0.4521 0.0000 0.3717
```

No. 8
Diffraction record for Tb3SmSe6. The powder diffraction line list is simulated, not measured: it uses a GGA-PBE-relaxed structure and CuKα.

Main lines, by angle (15° ≤ 2θ ≤ 90°):
- hkl 0 0 3, 2θ 18.4, d 4.816, I = 63
- hkl 2 0 2, 2θ 21.0, d 4.236, I = 43
- hkl 3 -1 1, 2θ 23.3, d 3.813, I = 93
- hkl 2 -1 3, 2θ 23.6, d 3.765, I = 22
- hkl 3 -2 2, 2θ 25.7, d 3.468, I = 47
- hkl 4 -1 2, 2θ 33.3, d 2.692, I = 80
- hkl 3 -1 4, 2θ 33.6, d 2.666, I = 100
- hkl 4 1 0, 2θ 39.5, d 2.282, I = 97
- hkl 4 -3 4, 2θ 39.9, d 2.262, I = 21
- hkl 1 1 6, 2θ 40.3, d 2.237, I = 46
- hkl 4 1 3, 2θ 43.9, d 2.062, I = 26
- hkl 3 1 5, 2θ 44.2, d 2.047, I = 25

Structure:
```
data_Tb3SmSe6
_chemical_formula_sum 'Tb18 Sm6 Se36'
_cell_length_a 12.0766
_cell_length_b 12.0766
_cell_length_c 14.4476
_cell_angle_alpha 90.00
_cell_angle_beta 90.00
_cell_angle_gamma 120.00
_space_group_name_H-M_alt 'R -3'
_space_group_IT_number 148
_space_group_name_Hall '-R 3'
loop_
_atom_site_label
_atom_site_type_symbol
_atom_site_fract_x
_atom_site_fract_y
_atom_site_fract_z
Tb1 Tb 0.0521 0.7809 0.2025
Sm1 Sm 0.0000 0.0000 0.0000
Sm2 Sm 0.0000 0.0000 0.5000
Se1 Se 0.0185 0.8034 0.3965
Se2 Se 0.0325 0.8370 0.8721
```

No. 9
Diffraction record for TbSmTeSe. The powder diffraction line list is simulated, not measured: it uses a GGA-PBE-relaxed structure and CuKα.

Main lines, by angle (15° ≤ 2θ ≤ 90°):
- hkl 1 0 1, 2θ 25.1, d 3.546, I = 23
- hkl 0 1 2, 2θ 26.1, d 3.418, I = 24
- hkl 1 0 4, 2θ 29.6, d 3.017, I = 31
- hkl 0 1 5, 2θ 32.0, d 2.794, I = 100
- hkl 1 0 7, 2θ 37.8, d 2.379, I = 35
- hkl 1 1 0, 2θ 43.6, d 2.074, I = 54
- hkl 1 0 10, 2θ 48.1, d 1.890, I = 15
- hkl 2 0 5, 2θ 55.2, d 1.665, I = 21
- hkl 0 2 7, 2θ 59.1, d 1.563, I = 9
- hkl 1 1 12, 2θ 67.8, d 1.382, I = 20
- hkl 1 2 5, 2θ 72.8, d 1.298, I = 19
- hkl 3 0 0, 2θ 80.2, d 1.197, I = 9

Structure:
```
data_TbSmTeSe
_chemical_formula_sum 'Tb3 Sm3 Te3 Se3'
_cell_length_a 4.1477
_cell_length_b 4.1477
_cell_length_c 22.2305
_cell_angle_alpha 90.00
_cell_angle_beta 90.00
_cell_angle_gamma 120.00
_space_group_name_H-M_alt 'R 3 m'
_space_group_IT_number 160
_space_group_name_Hall 'R 3 -2"'
loop_
_atom_site_label
_atom_site_type_symbol
_atom_site_fract_x
_atom_site_fract_y
_atom_site_fract_z
Tb1 Tb 0.0000 0.0000 0.0000
Sm1 Sm 0.0000 0.0000 0.8129
Te1 Te 0.0000 0.0000 0.2407
Se1 Se 0.0000 0.0000 0.4061
```

No. 10
Diffraction record for TbSm2TmSe5. The powder diffraction line list is simulated, not measured: it uses a GGA-PBE-relaxed structure and CuKα.

Main lines, by angle (15° ≤ 2θ ≤ 90°):
- hkl 1 0 2, 2θ 24.1, d 3.691, I = 21
- hkl 1 1 0, 2θ 24.8, d 3.596, I = 79
- hkl 1 0 3, 2θ 30.6, d 2.926, I = 29
- hkl 0 0 4, 2θ 33.4, d 2.683, I = 14
- hkl 2 0 0, 2θ 35.3, d 2.541, I = 100
- hkl 1 0 4, 2θ 37.9, d 2.373, I = 28
- hkl 2 1 3, 2θ 47.4, d 1.919, I = 17
- hkl 2 0 4, 2θ 49.4, d 1.845, I = 18
- hkl 2 2 0, 2θ 50.8, d 1.798, I = 23
- hkl 2 1 4, 2θ 52.8, d 1.735, I = 22
- hkl 3 1 0, 2θ 57.3, d 1.608, I = 17
- hkl 4 2 0, 2θ 85.4, d 1.137, I = 13

Structure:
```
data_TbSm2TmSe5
_chemical_formula_sum 'Tb1 Sm2 Tm1 Se5'
_cell_length_a 5.0857
_cell_length_b 5.0857
_cell_length_c 10.7307
_cell_angle_alpha 90.00
_cell_angle_beta 90.00
_cell_angle_gamma 90.00
_space_group_name_H-M_alt 'P 4/m m m'
_space_group_IT_number 123
_space_group_name_Hall '-P 4 2'
loop_
_atom_site_label
_atom_site_type_symbol
_atom_site_fract_x
_atom_site_fract_y
_atom_site_fract_z
Tb1 Tb 0.0000 0.0000 0.0000
Sm1 Sm 0.5000 0.5000 0.3280
Tm1 Tm 0.0000 0.0000 0.5000
Se1 Se 0.0000 0.0000 0.2478
Se2 Se 0.0000 0.5000 0.5000
Se3 Se 0.5000 0.5000 0.0000
```

No. 11
Diffraction record for Tb4SmTmSe8. The powder diffraction line list is simulated, not measured: it uses a GGA-PBE-relaxed structure and CuKα.

Main lines, by angle (15° ≤ 2θ ≤ 90°):
- hkl 1 1 0, 2θ 21.0, d 4.227, I = 27
- hkl 0 1 5, 2θ 24.7, d 3.604, I = 100
- hkl 0 2 4, 2θ 29.9, d 2.989, I = 53
- hkl 1 2 5, 2θ 39.2, d 2.301, I = 52
- hkl 2 2 0, 2θ 42.7, d 2.116, I = 52
- hkl 2 0 8, 2θ 42.8, d 2.111, I = 52
- hkl 3 1 5, 2θ 50.0, d 1.824, I = 12
- hkl 4 0 4, 2θ 53.0, d 1.727, I = 10
- hkl 4 1 3, 2θ 59.3, d 1.558, I = 15
- hkl 0 4 8, 2θ 62.1, d 1.494, I = 16
- hkl 5 0 5, 2θ 67.8, d 1.382, I = 9
- hkl 4 2 8, 2θ 78.3, d 1.221, I = 24

Structure:
```
data_Tb4SmTmSe8
_chemical_formula_sum 'Tb12 Sm3 Tm3 Se24'
_cell_length_a 8.4641
_cell_length_b 8.4641
_cell_length_c 20.6530
_cell_angle_alpha 90.00
_cell_angle_beta 90.00
_cell_angle_gamma 120.00
_space_group_name_H-M_alt 'R 3 m'
_space_group_IT_number 160
_space_group_name_Hall 'R 3 -2"'
loop_
_atom_site_label
_atom_site_type_symbol
_atom_site_fract_x
_atom_site_fract_y
_atom_site_fract_z
Tb1 Tb 0.0000 0.0000 0.0000
Tb2 Tb 0.1673 0.3345 0.4573
Sm1 Sm 0.0000 0.0000 0.2482
Tm1 Tm 0.0000 0.0000 0.6243
Se1 Se 0.0000 0.0000 0.3826
Se2 Se 0.0000 0.0000 0.8676
Se3 Se 0.0234 0.5117 0.3748
Se4 Se 0.1807 0.3614 0.2059
```

No. 12
Diffraction record for Tb2SmYSe4. The powder diffraction line list is simulated, not measured: it uses a GGA-PBE-relaxed structure and CuKα.

Main lines, by angle (15° ≤ 2θ ≤ 90°):
- hkl 1 1 -1, 2θ 26.8, d 3.332, I = 7
- hkl 1 1 1, 2θ 30.7, d 2.908, I = 100
- hkl 2 0 2, 2θ 43.5, d 2.080, I = 13
- hkl 1 1 -3, 2θ 43.9, d 2.061, I = 25
- hkl 3 1 -1, 2θ 44.1, d 2.053, I = 24
- hkl 0 2 0, 2θ 44.6, d 2.032, I = 12
- hkl 0 0 4, 2θ 54.0, d 1.697, I = 7
- hkl 4 0 0, 2θ 54.4, d 1.688, I = 7
- hkl 2 2 -2, 2θ 55.1, d 1.666, I = 13
- hkl 2 2 2, 2θ 64.0, d 1.454, I = 12
- hkl 0 2 4, 2θ 72.6, d 1.303, I = 11
- hkl 4 2 0, 2θ 72.8, d 1.299, I = 11

Structure:
```
data_Tb2SmYSe4
_chemical_formula_sum 'Tb2 Sm1 Y1 Se4'
_cell_length_a 7.1344
_cell_length_b 4.0643
_cell_length_c 7.1724
_cell_angle_alpha 90.00
_cell_angle_beta 108.87
_cell_angle_gamma 90.00
_space_group_name_H-M_alt 'P 1 2/m 1'
_space_group_IT_number 10
loop_
_space_group_symop_operation_xyz
'x,y,z'
'-x,-y,-z'
'-x,y,-z'
'x,-y,z'
loop_
_atom_site_label
_atom_site_type_symbol
_atom_site_fract_x
_atom_site_fract_y
_atom_site_fract_z
Tb1 Tb 0.0000 0.0000 0.0000
Tb2 Tb 0.0000 0.5000 0.5000
Sm1 Sm 0.5000 0.0000 0.5000
Y1 Y 0.5000 0.5000 0.0000
Se1 Se 0.2454 0.5000 0.2449
Se2 Se 0.2482 0.0000 0.7530
```

No. 13
Diffraction record for Tb2Sm3YSe6. The powder diffraction line list is simulated, not measured: it uses a GGA-PBE-relaxed structure and CuKα.

Main lines, by angle (15° ≤ 2θ ≤ 90°):
- hkl 1 3 -1, 2θ 26.4, d 3.374, I = 8
- hkl 1 3 1, 2θ 30.6, d 2.922, I = 100
- hkl 1 3 -3, 2θ 43.7, d 2.074, I = 25
- hkl 0 6 0, 2θ 43.8, d 2.067, I = 25
- hkl 3 3 -1, 2θ 44.0, d 2.057, I = 24
- hkl 0 0 4, 2θ 54.1, d 1.696, I = 7
- hkl 2 6 -2, 2θ 54.4, d 1.687, I = 13
- hkl 2 6 2, 2θ 63.7, d 1.462, I = 8
- hkl 0 6 4, 2θ 72.1, d 1.310, I = 11
- hkl 1 9 1, 2θ 72.3, d 1.307, I = 11
- hkl 4 6 0, 2θ 72.6, d 1.302, I = 11
- hkl 3 9 -1, 2θ 80.6, d 1.192, I = 8

Structure:
```
data_Tb2Sm3YSe6
_chemical_formula_sum 'Tb4 Sm6 Y2 Se12'
_cell_length_a 7.1161
_cell_length_b 12.4021
_cell_length_c 7.1908
_cell_angle_alpha 90.00
_cell_angle_beta 109.38
_cell_angle_gamma 90.00
_space_group_name_H-M_alt 'C 1 2/m 1'
_space_group_IT_number 12
loop_
_space_group_symop_operation_xyz
'x,y,z'
'-x,-y,-z'
'-x,y,-z'
'x,-y,z'
'x+1/2,y+1/2,z'
'-x+1/2,-y+1/2,-z'
'-x+1/2,y+1/2,-z'
'x+1/2,-y+1/2,z'
loop_
_atom_site_label
_atom_site_type_symbol
_atom_site_fract_x
_atom_site_fract_y
_atom_site_fract_z
Tb1 Tb 0.0000 0.1666 0.0000
Sm1 Sm 0.0000 0.0000 0.5000
Sm2 Sm 0.0000 0.3329 0.5000
Y1 Y 0.0000 0.5000 0.0000
Se1 Se 0.2471 0.3336 0.2424
Se2 Se 0.2482 0.0000 0.2429
```